Structure and computed powder XRD pattern of LaPmPt10 (a structure optimized by DFT (PBE); Cu Kα, 1.54184 Å).
No peak broadening, texture or thermal motion is included.

Principal peaks in the range 2θ = 15–90°, by intensity:
two_theta  d_spacing  Rel. int.  index
38.88  2.316  100  1 2 0
43.55  2.078  56  1 2 2
40.65  2.219  35  2 0 0
18.87  4.703  34  0 0 2
38.24  2.354  19  0 2 2
83.53  1.157  18  2 2 6
57.06  1.614  18  2 0 4
32.99  2.715  17  0 2 0
62.81  1.479  17  1 3 3
72.79  1.299  16  3 2 0
69.27  1.357  15  0 2 6
27.63  3.228  10  1 1 1

Cell and atoms:
```
data_LaPmPt10
_cell_length_a 4.4387
_cell_length_b 5.4407
_cell_length_c 9.3898
_cell_angle_alpha 90.00
_cell_angle_beta 90.00
_cell_angle_gamma 90.00
_space_group_name_H-M_alt 'P m m m'
_space_group_IT_number 47
_space_group_name_Hall '-P 2 2'
loop_
_atom_site_label
_atom_site_type_symbol
_atom_site_fract_x
_atom_site_fract_y
_atom_site_fract_z
La1 La 0.0000 0.0000 0.0000
Pm1 Pm 0.0000 0.5000 0.5000
Pt1 Pt 0.0000 0.0000 0.3346
Pt2 Pt 0.0000 0.5000 0.1688
Pt3 Pt 0.5000 0.0000 0.5000
Pt4 Pt 0.5000 0.2510 0.2518
Pt5 Pt 0.5000 0.5000 0.0000
```